This entry pairs a crystal structure of Ag3Cl4F with its calculated X-ray diffraction stick pattern. Radiation: Cu Kα X-rays. Structure: a structure optimized by DFT (PBE).
No peak broadening, texture or thermal motion is included.

Structure:
```
Ag3Cl4F
1.0
6.2052 -3.2013 0.0000
6.2052 3.2013 0.0000
-5.5957 0.0000 10.1987
Ag Cl F
6 8 2
direct
0.0005 0.9995 0.5000
0.1976 0.2674 0.3989
0.2674 0.1976 0.8989
0.6204 0.6561 0.2169
0.6561 0.6204 0.7169
0.9995 0.0005 0.0000
0.0389 0.3939 0.6584
0.2467 0.8304 0.7469
0.2934 0.5640 0.0358
0.3734 0.8667 0.4337
0.3939 0.0389 0.1584
0.5640 0.2934 0.5358
0.8304 0.2467 0.2469
0.8667 0.3734 0.9337
0.6509 0.9730 0.8789
0.9730 0.6509 0.3789
```

Top 6 peaks for 15° ≤ 2θ ≤ 90°, sorted by position:
16.29°, intensity 55
17.19°, intensity 100
20.63°, intensity 64
26.54°, intensity 89
34.77°, intensity 86
40.53°, intensity 62

---

This entry pairs a crystal structure of Rb2Tl6HgRh with its calculated X-ray diffraction stick pattern. Radiation: Cu Kα X-rays. Structure: a structure optimized by DFT (PBE).
No peak broadening, texture or thermal motion is included.

Structure:
```
Rb2Tl6HgRh
1.0
7.1044 0.0000 0.0000
3.5084 6.4516 0.0000
3.1182 2.0611 7.9568
Rb Tl Hg Rh
2 6 1 1
direct
0.1744 0.2405 0.3521
0.8256 0.7595 0.6479
0.2309 0.7656 0.2444
0.3016 0.6404 0.8859
0.3098 0.1676 0.8756
0.6902 0.8324 0.1244
0.6984 0.3596 0.1141
0.7691 0.2344 0.7556
0.5000 0.5000 0.5000
0.0000 0.0000 0.0000
```

Top 6 peaks for 15° ≤ 2θ ≤ 90°, sorted by position:
15.73°, intensity 100
29.03°, intensity 45
29.32°, intensity 68
31.68°, intensity 72
31.85°, intensity 69
33.83°, intensity 65